CaLa2Co2Sb2Pb2O12: theoretical PXRD pattern (Cu Kα (λ = 1.5418 Å)), based on a PBE+U-relaxed structure.
Lines closer than 0.1° are merged.

Most intense lines, 15° ≤ 2θ ≤ 90°, low angle first:
| two_theta | I (rel.) | h k l |
| --- | --- | --- |
| 17.83 | 29 | 1 0 1 |
| 18.36 | 32 | 1 0 -1 |
| 21.50 | 41 | 0 1 2 |
| 30.10 | 55 | 0 2 1 |
| 30.66 | 100 | 1 -1 2 |
| 31.02 | 72 | 1 1 -2 |
| 31.30 | 81 | 2 0 0 |
| 32.52 | 59 | 1 1 3 |
| 33.72 | 55 | -1 1 3 |
| 43.28 | 38 | 2 2 1 |
| 47.74 | 32 | 0 0 5 |
| 55.72 | 32 | 3 1 -2 |

Structural model:
```
data_CaLa2Co2Sb2Pb2O12
_cell_length_a 5.721
_cell_length_b 5.969
_cell_length_c 9.746
_cell_angle_alpha 77.95
_cell_angle_beta 87.82
_cell_angle_gamma 88.47
_space_group_name_H-M_alt 'P 1'
_space_group_IT_number 1
_space_group_name_Hall 'P 1'
loop_
_atom_site_label
_atom_site_fract_x
_atom_site_fract_y
_atom_site_fract_z
Ca1 0.000 0.000 0.000
La1 0.041 0.184 0.629
La2 0.555 0.580 0.036
Co1 0.042 0.601 0.843
Co2 0.573 0.235 0.427
Sb1 0.056 0.760 0.422
Sb2 0.531 0.129 0.847
Pb1 0.070 0.301 0.232
Pb2 0.531 0.717 0.639
O1 0.078 0.593 0.624
O2 0.281 0.002 0.480
O3 0.284 0.333 0.911
O4 0.286 0.887 0.836
O5 0.424 0.420 0.260
O6 0.500 0.257 0.642
O7 0.579 0.968 0.045
O8 0.785 0.344 0.870
O9 0.786 0.949 0.473
O10 0.794 0.908 0.800
O11 0.883 0.419 0.414
O12 0.972 0.612 0.057
```